Entry 1:
Calculated PXRD pattern of EuGaAu2 for Cu Kα X-rays, from a PBE-relaxed structure.
Neutral-atom scattering factors, no anomalous dispersion.

The 8 most intense peaks (2θ from 10° to 80°), sorted by position:
21.72°, intensity 4; 25.13°, intensity 9; 35.84°, intensity 100; 44.28°, intensity 3; 51.59°, intensity 18; 58.22°, intensity 4; 64.41°, intensity 37; 75.96°, intensity 11

a = 5.0110 Å, b = 5.0110 Å, c = 5.0110 Å
α = 60.00°, β = 60.00°, γ = 60.00°
Positions (direct):
Eu 0.0000 0.0000 0.0000
Ga 0.5000 0.5000 0.5000
Au 0.2500 0.2500 0.2500
Au 0.7500 0.7500 0.7500

Entry 2:
Calculated PXRD pattern of Tm2Ni12As7 for Cu Kα X-rays, from a PBE-relaxed structure.
Neutral-atom scattering factors, no anomalous dispersion.

The 8 most intense peaks (2θ from 10° to 80°), sorted by position:
32.28°, intensity 15; 33.18°, intensity 12; 37.72°, intensity 100; 46.97°, intensity 19; 47.81°, intensity 24; 51.72°, intensity 24; 55.00°, intensity 16; 73.08°, intensity 17

a = 9.3523 Å, b = 9.3523 Å, c = 3.8047 Å
α = 90.00°, β = 90.00°, γ = 120.00°
Positions (direct):
Tm 0.0000 0.0000 0.0000
Tm 0.3333 0.6667 0.5000
Ni 0.0447 0.7590 0.5000
Ni 0.1074 0.3898 0.0000
Ni 0.2410 0.2857 0.5000
Ni 0.2824 0.8926 0.0000
Ni 0.3861 0.2048 0.0000
Ni 0.5494 0.1205 0.5000
Ni 0.5711 0.4506 0.5000
Ni 0.6102 0.7176 0.0000
Ni 0.7143 0.9553 0.5000
Ni 0.7952 0.1813 0.0000
Ni 0.8187 0.6139 0.0000
Ni 0.8795 0.4289 0.5000
As 0.0708 0.6171 0.0000
As 0.2566 0.0355 0.5000
As 0.3829 0.4537 0.0000
As 0.5463 0.9292 0.0000
As 0.6667 0.3333 0.0000
As 0.7789 0.7434 0.5000
As 0.9645 0.2211 0.5000

Entry 3:
Calculated PXRD pattern of Ba3Ga2N4 for Cu Kα X-rays, from a PBE-relaxed structure.
Neutral-atom scattering factors, no anomalous dispersion.

The 8 most intense peaks (2θ from 10° to 80°), sorted by position:
26.60°, intensity 82; 29.64°, intensity 40; 29.88°, intensity 100; 30.94°, intensity 27; 31.07°, intensity 50; 33.92°, intensity 59; 34.29°, intensity 41; 62.73°, intensity 29

a = 6.2848 Å, b = 10.6455 Å, c = 10.1987 Å
α = 90.00°, β = 90.00°, γ = 90.00°
Positions (direct):
Ba 0.1080 0.1545 0.0883
Ba 0.1080 0.3455 0.4117
Ba 0.2500 0.0000 0.4070
Ba 0.2500 0.5000 0.0930
Ba 0.3920 0.6545 0.4117
Ba 0.3920 0.8455 0.0883
Ba 0.6080 0.1545 0.9117
Ba 0.6080 0.3455 0.5883
Ba 0.7500 0.0000 0.5930
Ba 0.7500 0.5000 0.9070
Ba 0.8920 0.6545 0.5883
Ba 0.8920 0.8455 0.9117
Ga 0.1641 0.2500 0.7500
Ga 0.2500 0.0000 0.7305
Ga 0.2500 0.5000 0.7695
Ga 0.3359 0.7500 0.7500
Ga 0.6641 0.2500 0.2500
Ga 0.7500 0.0000 0.2695
Ga 0.7500 0.5000 0.2305
Ga 0.8359 0.7500 0.2500
N 0.0213 0.0970 0.8287
N 0.0213 0.4030 0.6713
N 0.1377 0.6461 0.8702
N 0.1377 0.8539 0.6298
N 0.3623 0.1461 0.6298
N 0.3623 0.3539 0.8702
N 0.4787 0.5970 0.6713
N 0.4787 0.9030 0.8287
N 0.5213 0.0970 0.1713
N 0.5213 0.4030 0.3287
N 0.6377 0.6461 0.1298
N 0.6377 0.8539 0.3702
N 0.8623 0.1461 0.3702
N 0.8623 0.3539 0.1298
N 0.9787 0.5970 0.3287
N 0.9787 0.9030 0.1713

Entry 4:
Calculated PXRD pattern of Ba3Nb2P4O18 for Cu Kα X-rays, from a PBE-relaxed structure.
Neutral-atom scattering factors, no anomalous dispersion.

The 8 most intense peaks (2θ from 10° to 80°), sorted by position:
19.14°, intensity 100; 21.04°, intensity 69; 21.95°, intensity 60; 22.87°, intensity 64; 28.65°, intensity 48; 29.86°, intensity 81; 30.03°, intensity 67; 31.15°, intensity 58

a = 4.9717 Å, b = 9.1930 Å, c = 9.6844 Å
α = 88.42°, β = 78.80°, γ = 78.38°
Positions (direct):
Ba 0.0000 0.0000 0.0000
Ba 0.4522 0.7828 0.4105
Ba 0.5478 0.2172 0.5895
Nb 0.2436 0.6083 0.7715
Nb 0.7564 0.3917 0.2285
P 0.1906 0.6346 0.1405
P 0.3083 0.1337 0.2825
P 0.6917 0.8663 0.7175
P 0.8094 0.3654 0.8595
O 0.0099 0.7568 0.2412
O 0.0436 0.1947 0.2151
O 0.0576 0.4953 0.1372
O 0.2222 0.0864 0.4351
O 0.2377 0.5621 0.5948
O 0.2577 0.6918 0.9895
O 0.4616 0.2666 0.2893
O 0.4704 0.5776 0.1969
O 0.4889 0.0063 0.1872
O 0.5111 0.9937 0.8128
O 0.5296 0.4224 0.8031
O 0.5384 0.7334 0.7107
O 0.7423 0.3082 0.0105
O 0.7623 0.4379 0.4052
O 0.7778 0.9136 0.5649
O 0.9424 0.5047 0.8628
O 0.9564 0.8053 0.7849
O 0.9901 0.2432 0.7588

Entry 5:
Calculated PXRD pattern of Mg6NbSnO8 for Cu Kα X-rays, from a PBE-relaxed structure.
Neutral-atom scattering factors, no anomalous dispersion.

The 8 most intense peaks (2θ from 10° to 80°), sorted by position:
20.00°, intensity 34; 28.02°, intensity 28; 29.81°, intensity 49; 34.67°, intensity 68; 40.05°, intensity 100; 40.64°, intensity 45; 57.92°, intensity 31; 58.37°, intensity 57

a = 4.5031 Å, b = 4.5031 Å, c = 8.8807 Å
α = 90.00°, β = 90.00°, γ = 90.00°
Positions (direct):
Mg 0.0000 0.0000 0.0000
Mg 0.0000 0.5000 0.2356
Mg 0.0000 0.5000 0.7644
Mg 0.5000 0.0000 0.2356
Mg 0.5000 0.0000 0.7644
Mg 0.5000 0.5000 0.0000
Nb 0.0000 0.0000 0.5000
Sn 0.5000 0.5000 0.5000
O 0.0000 0.0000 0.2361
O 0.0000 0.0000 0.7639
O 0.0000 0.5000 0.0000
O 0.0000 0.5000 0.5000
O 0.5000 0.0000 0.0000
O 0.5000 0.0000 0.5000
O 0.5000 0.5000 0.2257
O 0.5000 0.5000 0.7743